This entry pairs a crystal structure of Sr4MgTiFe2As2O6 with its calculated powder diffraction line list. Radiation: Cu Kα. Structure: the GGA+U geometry in Alexandria.
Neutral-atom scattering factors, no anomalous dispersion.

```
Sr4MgTiFe2As2O6
1.0
4.0154 0.0000 0.0000
0.0000 4.0154 0.0000
0.0000 0.0000 16.7903
Sr Mg Ti Fe As O
4 1 1 2 2 6
Direct
0.0000 0.0000 0.0000
0.0000 0.0000 0.1922
0.5000 0.5000 0.6020
0.5000 0.5000 0.8286
0.5000 0.5000 0.0852
0.0000 0.0000 0.7193
0.0000 0.5000 0.4127
0.5000 0.0000 0.4127
0.0000 0.0000 0.5143
0.5000 0.5000 0.3166
0.0000 0.0000 0.8255
0.0000 0.5000 0.1060
0.0000 0.5000 0.7022
0.5000 0.0000 0.1060
0.5000 0.0000 0.7022
0.5000 0.5000 0.9616
```

Main lines, sorted by position (2θ = 10–90°):
| h k l | 2θ (°) | d (Å) | I/Imax |
| --- | --- | --- | --- |
| 1 0 2 | 24.58 | 3.622 | 19 |
| 1 0 4 | 30.82 | 2.902 | 100 |
| 1 1 0 | 31.51 | 2.839 | 46 |
| 1 1 3 | 35.45 | 2.532 | 28 |
| 1 1 4 | 38.27 | 2.352 | 26 |
| 1 0 6 | 39.24 | 2.296 | 28 |
| 2 0 0 | 45.16 | 2.008 | 57 |
| 1 1 6 | 45.51 | 1.993 | 28 |
| 2 1 4 | 55.67 | 1.651 | 37 |
| 2 2 0 | 65.78 | 1.420 | 17 |